V9NiO15: theoretical powder diffractogram (Cu Kα, 1.54184 Å), based on a cell relaxed with PBE+U.
Peak positions follow from Bragg's law for the DFT cell and can differ from measured ones.

```
V9NiO15
1.0
7.534 0.000 0.000
3.445 8.121 0.000
2.839 0.381 8.631
V Ni O
18 2 30
Direct
0.023 0.159 0.486 V
0.070 0.039 0.123 V
0.132 0.359 0.079 V
0.169 0.240 0.720 V
0.232 0.558 0.678 V
0.269 0.441 0.321 V
0.369 0.639 0.924 V
0.433 0.961 0.880 V
0.468 0.840 0.520 V
0.532 0.160 0.480 V
0.567 0.039 0.120 V
0.631 0.361 0.076 V
0.731 0.559 0.679 V
0.768 0.442 0.322 V
0.831 0.760 0.280 V
0.868 0.641 0.921 V
0.930 0.961 0.877 V
0.977 0.841 0.514 V
0.337 0.759 0.276 Ni
0.663 0.241 0.724 Ni
0.010 0.217 0.263 O
0.013 0.522 0.258 O
0.020 0.864 0.278 O
0.172 0.538 0.921 O
0.188 0.184 0.939 O
0.188 0.878 0.939 O
0.204 0.614 0.465 O
0.209 0.926 0.468 O
0.226 0.261 0.477 O
0.370 0.944 0.119 O
0.389 0.277 0.138 O
0.389 0.578 0.138 O
0.406 0.322 0.659 O
0.413 0.017 0.661 O
0.428 0.660 0.678 O
0.572 0.340 0.322 O
0.587 0.983 0.339 O
0.594 0.678 0.341 O
0.611 0.422 0.862 O
0.611 0.723 0.862 O
0.630 0.056 0.881 O
0.774 0.739 0.523 O
0.791 0.074 0.532 O
0.796 0.386 0.535 O
0.812 0.122 0.061 O
0.812 0.816 0.061 O
0.828 0.462 0.079 O
0.980 0.136 0.722 O
0.987 0.478 0.742 O
0.990 0.783 0.737 O
```

The 8 most intense peaks (2θ from 10° to 80°), in order of rising 2θ:
2θ = 23.79°, I = 49, hkl 2 1 1; 2θ = 32.54°, I = 100, hkl 0 1 3; 2θ = 35.16°, I = 27, hkl 2 0 3; 2θ = 35.22°, I = 53, hkl 0 3 -1; 2θ = 40.27°, I = 23, hkl 1 3 3; 2θ = 48.66°, I = 27, hkl 0 2 -4; 2θ = 53.04°, I = 63, hkl 4 3 0; 2θ = 63.13°, I = 26, hkl 4 3 5